For NaAlH2, DFT lattice parameters and positions (GGA-PBE) gives the simulated PXRD pattern in this record (Cu Kα (λ = 1.5418 Å)).
Lines closer than 0.1° are merged.

Largest 8 diffraction maxima, low angle first, 15° ≤ 2θ ≤ 90°:
2θ = 32.73°, 2.736 Å, I 31
2θ = 33.88°, 2.646 Å, I 100
2θ = 42.28°, 2.137 Å, I 30
2θ = 54.48°, 1.684 Å, I 26
2θ = 59.16°, 1.562 Å, I 20
2θ = 61.34°, 1.511 Å, I 9
2θ = 71.29°, 1.323 Å, I 11
2θ = 71.95°, 1.312 Å, I 21

a = 6.9436 Å, b = 6.9436 Å, c = 6.9436 Å
α = 128.39°, β = 128.39°, γ = 76.00°
Sites, in units of the cell vectors:
Na: 0.0000 0.0000 0.0000
Na: 0.0000 0.0000 0.5000
Na: 0.0000 0.5000 0.0000
Na: 0.5000 0.0000 0.5000
Al: 0.0000 0.5000 0.5000
Al: 0.5000 0.0000 0.0000
Al: 0.5000 0.5000 0.0000
Al: 0.5000 0.5000 0.5000
H: 0.2006 0.2642 0.5636
H: 0.2006 0.6371 0.9364
H: 0.2642 0.2006 0.0636
H: 0.3629 0.7994 0.5636
H: 0.6371 0.2006 0.4364
H: 0.7358 0.7994 0.9364
H: 0.7994 0.3629 0.0636
H: 0.7994 0.7358 0.4364


For NaAlH4, DFT lattice parameters and positions (GGA-PBE) gives the simulated PXRD pattern in this record (Cu Kα (λ = 1.5418 Å)).
Lines closer than 0.1° are merged.

Largest 8 diffraction maxima, low angle first, 15° ≤ 2θ ≤ 90°:
2θ = 30.04°, 2.974 Å, I 100
2θ = 32.28°, 2.773 Å, I 18
2θ = 36.04°, 2.492 Å, I 26
2θ = 49.15°, 1.854 Å, I 24
2θ = 51.89°, 1.762 Å, I 10
2θ = 56.19°, 1.637 Å, I 15
2θ = 61.13°, 1.516 Å, I 23
2θ = 62.44°, 1.487 Å, I 11

a = 6.5710 Å, b = 6.5710 Å, c = 6.5710 Å
α = 135.43°, β = 135.43°, γ = 64.87°
Sites, in units of the cell vectors:
Na: 0.3750 0.1250 0.2500
Na: 0.6250 0.8750 0.7500
Al: 0.1250 0.3750 0.7500
Al: 0.8750 0.6250 0.2500
H: 0.0634 0.2201 0.3716
H: 0.1918 0.5634 0.3433
H: 0.2799 0.1515 0.8433
H: 0.3485 0.6918 0.1284
H: 0.6515 0.3082 0.8716
H: 0.7201 0.8485 0.1567
H: 0.8082 0.4366 0.6567
H: 0.9366 0.7799 0.6284


For NaAlH4, DFT lattice parameters and positions (GGA-PBE) gives the simulated PXRD pattern in this record (Cu Kα (λ = 1.5418 Å)).
Lines closer than 0.1° are merged.

Largest 8 diffraction maxima, low angle first, 15° ≤ 2θ ≤ 90°:
2θ = 25.58°, 3.482 Å, I 21
2θ = 31.12°, 2.873 Å, I 90
2θ = 31.45°, 2.844 Å, I 100
2θ = 35.28°, 2.544 Å, I 35
2θ = 36.48°, 2.463 Å, I 27
2θ = 41.24°, 2.189 Å, I 26
2θ = 55.37°, 1.659 Å, I 25
2θ = 61.54°, 1.507 Å, I 23

a = 7.1855 Å, b = 7.1855 Å, c = 5.0874 Å
α = 90.00°, β = 90.00°, γ = 151.49°
Sites, in units of the cell vectors:
Na: 0.1731 0.8269 0.5000
Na: 0.8269 0.1731 0.0000
Al: 0.4147 0.5853 0.4710
Al: 0.5853 0.4147 0.9710
H: 0.0763 0.9237 0.9506
H: 0.3163 0.6837 0.2746
H: 0.3482 0.6518 0.7429
H: 0.4784 0.5216 0.1509
H: 0.5216 0.4784 0.6509
H: 0.6518 0.3482 0.2429
H: 0.6837 0.3163 0.7746
H: 0.9237 0.0763 0.4506


For NaAlH2, DFT lattice parameters and positions (GGA-PBE) gives the simulated PXRD pattern in this record (Cu Kα (λ = 1.5418 Å)).
Lines closer than 0.1° are merged.

Largest 8 diffraction maxima, low angle first, 15° ≤ 2θ ≤ 90°:
2θ = 32.79°, 2.731 Å, I 100
2θ = 36.17°, 2.483 Å, I 17
2θ = 38.95°, 2.312 Å, I 29
2θ = 54.20°, 1.692 Å, I 23
2θ = 56.26°, 1.635 Å, I 10
2θ = 62.93°, 1.477 Å, I 14
2θ = 66.67°, 1.403 Å, I 23
2θ = 68.74°, 1.366 Å, I 10

a = 6.7862 Å, b = 6.7862 Å, c = 6.7862 Å
α = 122.39°, β = 122.39°, γ = 85.92°
Sites, in units of the cell vectors:
Na: 0.0000 0.0000 0.0000
Na: 0.5000 0.0000 0.0000
Na: 0.5000 0.0000 0.5000
Na: 0.5000 0.5000 0.5000
Al: 0.0000 0.0000 0.5000
Al: 0.0000 0.5000 0.0000
Al: 0.0000 0.5000 0.5000
Al: 0.5000 0.5000 0.0000
H: 0.0675 0.4229 0.2448
H: 0.0771 0.8219 0.6446
H: 0.3219 0.1773 0.7448
H: 0.3227 0.5675 0.1446
H: 0.6773 0.4325 0.8554
H: 0.6781 0.8227 0.2552
H: 0.9229 0.1781 0.3554
H: 0.9325 0.5771 0.7552


For Na3AlP2H2O9, DFT lattice parameters and positions (GGA-PBE) gives the simulated PXRD pattern in this record (Cu Kα (λ = 1.5418 Å)).
Lines closer than 0.1° are merged.

Largest 8 diffraction maxima, low angle first, 15° ≤ 2θ ≤ 90°:
2θ = 18.13°, 4.894 Å, I 100
2θ = 25.07°, 3.552 Å, I 40
2θ = 27.66°, 3.225 Å, I 47
2θ = 28.06°, 3.180 Å, I 44
2θ = 28.94°, 3.085 Å, I 38
2θ = 32.35°, 2.767 Å, I 41
2θ = 34.39°, 2.608 Å, I 60
2θ = 35.75°, 2.512 Å, I 74

a = 8.4988 Å, b = 8.4988 Å, c = 7.1394 Å
α = 96.03°, β = 96.03°, γ = 49.50°
Sites, in units of the cell vectors:
Na: 0.0000 0.5000 0.5000
Na: 0.2349 0.7651 0.0000
Na: 0.3898 0.3898 0.2907
Na: 0.5000 0.0000 0.5000
Na: 0.6102 0.6102 0.7093
Na: 0.7651 0.2349 0.0000
Al: 0.0000 0.5000 0.0000
Al: 0.5000 0.0000 0.0000
P: 0.1198 0.1198 0.7100
P: 0.3771 0.3771 0.7742
P: 0.6229 0.6229 0.2258
P: 0.8802 0.8802 0.2900
H: 0.0625 0.0625 0.4038
H: 0.1932 0.1932 0.1752
H: 0.8068 0.8068 0.8248
H: 0.9375 0.9375 0.5962
O: 0.0097 0.6495 0.2234
O: 0.0259 0.0259 0.7585
O: 0.1210 0.1210 0.4842
O: 0.1683 0.5276 0.8808
O: 0.2434 0.2434 0.1049
O: 0.3336 0.3336 0.5698
O: 0.3505 0.9903 0.7766
O: 0.4724 0.8317 0.1192
O: 0.4765 0.4765 0.7873
O: 0.5235 0.5235 0.2127
O: 0.5276 0.1683 0.8808
O: 0.6495 0.0097 0.2234
O: 0.6664 0.6664 0.4302
O: 0.7566 0.7566 0.8951
O: 0.8317 0.4724 0.1192
O: 0.8790 0.8790 0.5158
O: 0.9741 0.9741 0.2415
O: 0.9903 0.3505 0.7766


Q: What is the formula in the fourth record?
A: NaAlH2


Q: What is the formula in the first record?
A: NaAlH2